(1)
Simulated powder diffraction line list
Compound: Cs2LiNdCl6
Radiation: copper Kα
Structure: DFT lattice parameters and positions (PBE)
Intensities are scaled so that the largest is 100.

Atomic structure:
```
data_Cs2LiNdCl6
_symmetry_space_group_name_H-M 'F m -3 m'
_symmetry_Int_Tables_number 225
_symmetry_space_group_name_Hall '-F 4 2 3'
_cell_length_a 10.7805
_cell_length_b 10.7805
_cell_length_c 10.7805
_cell_angle_alpha 90.00
_cell_angle_beta 90.00
_cell_angle_gamma 90.00
loop_
_atom_site_label
_atom_site_type_symbol
_atom_site_fract_x
_atom_site_fract_y
_atom_site_fract_z
Cs1 Cs 0.2500 0.2500 0.2500
Li1 Li 0.0000 0.0000 0.0000
Nd1 Nd 0.0000 0.0000 0.5000
Cl1 Cl 0.0000 0.0000 0.2458
```

Most intense lines, 10 to 90 degrees two-theta, sorted by position:
hkl	2theta	Rel. int.
1 1 1	14.23	33
2 2 0	23.34	100
3 1 1	27.44	24
2 2 2	28.69	39
4 0 0	33.24	71
4 2 2	41.02	46
4 4 0	47.72	48
6 2 0	53.78	22
6 4 2	64.71	25
8 4 0	79.53	21

=====

(2)
Simulated powder diffraction line list
Compound: Cs2LiScCl6
Radiation: copper Kα
Structure: DFT lattice parameters and positions (PBE)
Intensities are scaled so that the largest is 100.

Atomic structure:
```
data_Cs2LiScCl6
_symmetry_space_group_name_H-M 'F m -3 m'
_symmetry_Int_Tables_number 225
_symmetry_space_group_name_Hall '-F 4 2 3'
_cell_length_a 10.4119
_cell_length_b 10.4119
_cell_length_c 10.4119
_cell_angle_alpha 90.00
_cell_angle_beta 90.00
_cell_angle_gamma 90.00
loop_
_atom_site_label
_atom_site_type_symbol
_atom_site_fract_x
_atom_site_fract_y
_atom_site_fract_z
Cs1 Cs 0.2500 0.2500 0.2500
Li1 Li 0.0000 0.0000 0.0000
Sc1 Sc 0.0000 0.0000 0.5000
Cl1 Cl 0.0000 0.0000 0.2581
```

Most intense lines, 10 to 90 degrees two-theta, sorted by position:
hkl	2theta	Rel. int.
2 0 0	17.03	26
2 2 0	24.18	77
2 2 2	29.72	100
4 0 0	34.46	75
4 2 2	42.54	35
4 4 0	49.52	49
6 2 2	58.83	37
4 4 4	61.72	16
6 4 2	67.29	19
8 4 0	82.94	21

=====

(3)
Simulated powder diffraction line list
Compound: Cs2LiScCl6
Radiation: copper Kα
Structure: DFT lattice parameters and positions (PBE)
Intensities are scaled so that the largest is 100.

Atomic structure:
```
data_Cs2LiScCl6
_symmetry_space_group_name_H-M 'R -3 m'
_symmetry_Int_Tables_number 166
_symmetry_space_group_name_Hall '-R 3 2"'
_cell_length_a 7.4561
_cell_length_b 7.4561
_cell_length_c 36.4617
_cell_angle_alpha 90.00
_cell_angle_beta 90.00
_cell_angle_gamma 120.00
loop_
_atom_site_label
_atom_site_type_symbol
_atom_site_fract_x
_atom_site_fract_y
_atom_site_fract_z
Cs1 Cs 0.0000 0.0000 0.1262
Cs2 Cs 0.0000 0.0000 0.2890
Li1 Li 0.0000 0.0000 0.4112
Sc1 Sc 0.0000 0.0000 0.0000
Sc2 Sc 0.0000 0.0000 0.5000
Cl1 Cl 0.0133 0.5066 0.7062
Cl2 Cl 0.0260 0.5130 0.1251
```

Most intense lines, 10 to 90 degrees two-theta, sorted by position:
hkl	2theta	Rel. int.
0 1 5	18.35	51
1 0 7	21.92	47
1 1 0	23.87	82
2 0 2	28.08	30
0 0 12	29.39	47
2 0 5	30.28	100
0 2 7	32.63	89
0 2 10	37.20	32
2 2 0	48.86	46
2 2 12	58.05	33

=====

(4)
Simulated powder diffraction line list
Compound: Cs2LiSmCl6
Radiation: copper Kα
Structure: DFT lattice parameters and positions (PBE)
Intensities are scaled so that the largest is 100.

Atomic structure:
```
data_Cs2LiSmCl6
_symmetry_space_group_name_H-M 'F m -3 m'
_symmetry_Int_Tables_number 225
_symmetry_space_group_name_Hall '-F 4 2 3'
_cell_length_a 10.7240
_cell_length_b 10.7240
_cell_length_c 10.7240
_cell_angle_alpha 90.00
_cell_angle_beta 90.00
_cell_angle_gamma 90.00
loop_
_atom_site_label
_atom_site_type_symbol
_atom_site_fract_x
_atom_site_fract_y
_atom_site_fract_z
Cs1 Cs 0.2500 0.2500 0.2500
Li1 Li 0.0000 0.0000 0.0000
Sm1 Sm 0.0000 0.0000 0.5000
Cl1 Cl 0.0000 0.0000 0.2476
```

Most intense lines, 10 to 90 degrees two-theta, sorted by position:
hkl	2theta	Rel. int.
1 1 1	14.31	35
2 2 0	23.46	100
3 1 1	27.59	25
2 2 2	28.84	37
4 0 0	33.42	70
4 2 2	41.24	46
4 4 0	47.99	47
6 2 0	54.09	22
6 4 2	65.09	25
8 4 0	80.03	21

=====

(5)
Simulated powder diffraction line list
Compound: Cs2LiTaCl6
Radiation: copper Kα
Structure: DFT lattice parameters and positions (PBE)
Intensities are scaled so that the largest is 100.

Atomic structure:
```
data_Cs2LiTaCl6
_symmetry_space_group_name_H-M 'F m -3 m'
_symmetry_Int_Tables_number 225
_symmetry_space_group_name_Hall '-F 4 2 3'
_cell_length_a 10.3604
_cell_length_b 10.3604
_cell_length_c 10.3604
_cell_angle_alpha 90.00
_cell_angle_beta 90.00
_cell_angle_gamma 90.00
loop_
_atom_site_label
_atom_site_type_symbol
_atom_site_fract_x
_atom_site_fract_y
_atom_site_fract_z
Cs1 Cs 0.2500 0.2500 0.2500
Li1 Li 0.0000 0.0000 0.0000
Ta1 Ta 0.0000 0.0000 0.5000
Cl1 Cl 0.0000 0.0000 0.2588
```

Most intense lines, 10 to 90 degrees two-theta, sorted by position:
hkl	2theta	Rel. int.
1 1 1	14.81	53
2 2 0	24.30	100
3 1 1	28.58	28
2 2 2	29.87	26
4 0 0	34.63	63
4 2 2	42.76	46
4 4 0	49.79	43
6 2 0	56.15	21
6 4 2	67.67	25
8 4 0	83.45	19

=====

(6)
Simulated powder diffraction line list
Compound: Cs2LiTbCl6
Radiation: copper Kα
Structure: DFT lattice parameters and positions (PBE)
Intensities are scaled so that the largest is 100.

Atomic structure:
```
data_Cs2LiTbCl6
_symmetry_space_group_name_H-M 'F m -3 m'
_symmetry_Int_Tables_number 225
_symmetry_space_group_name_Hall '-F 4 2 3'
_cell_length_a 10.6463
_cell_length_b 10.6463
_cell_length_c 10.6463
_cell_angle_alpha 90.00
_cell_angle_beta 90.00
_cell_angle_gamma 90.00
loop_
_atom_site_label
_atom_site_type_symbol
_atom_site_fract_x
_atom_site_fract_y
_atom_site_fract_z
Cs1 Cs 0.2500 0.2500 0.2500
Li1 Li 0.0000 0.0000 0.0000
Tb1 Tb 0.0000 0.0000 0.5000
Cl1 Cl 0.0000 0.0000 0.2501
```

Most intense lines, 10 to 90 degrees two-theta, sorted by position:
hkl	2theta	Rel. int.
1 1 1	14.41	40
2 2 0	23.64	100
3 1 1	27.79	26
2 2 2	29.05	34
4 0 0	33.67	68
4 2 2	41.56	46
4 4 0	48.36	46
6 2 0	54.51	21
6 4 2	65.62	25
8 4 0	80.73	20

=====

(7)
Simulated powder diffraction line list
Compound: Cs2RbLuCl6
Radiation: copper Kα
Structure: DFT lattice parameters and positions (PBE)
Intensities are scaled so that the largest is 100.

Atomic structure:
```
data_Cs2RbLuCl6
_symmetry_space_group_name_H-M 'F m -3 m'
_symmetry_Int_Tables_number 225
_symmetry_space_group_name_Hall '-F 4 2 3'
_cell_length_a 11.4667
_cell_length_b 11.4667
_cell_length_c 11.4667
_cell_angle_alpha 90.00
_cell_angle_beta 90.00
_cell_angle_gamma 90.00
loop_
_atom_site_label
_atom_site_type_symbol
_atom_site_fract_x
_atom_site_fract_y
_atom_site_fract_z
Cs1 Cs 0.2500 0.2500 0.2500
Rb1 Rb 0.0000 0.0000 0.0000
Lu1 Lu 0.0000 0.0000 0.5000
Cl1 Cl 0.0000 0.0000 0.2746
```

Most intense lines, 10 to 90 degrees two-theta, sorted by position:
hkl	2theta	Rel. int.
1 1 1	13.37	15
2 2 0	21.92	100
4 0 0	31.20	53
4 2 2	38.46	45
4 4 0	44.71	36
6 2 0	50.33	24
6 4 2	60.41	27
6 6 0	69.57	12
8 4 0	73.93	14
10 2 0	86.57	15

=====

(8)
Simulated powder diffraction line list
Compound: CsMgCl3
Radiation: copper Kα
Structure: DFT lattice parameters and positions (PBE)
Intensities are scaled so that the largest is 100.

Atomic structure:
```
data_CsMgCl3
_symmetry_space_group_name_H-M 'P 63/m m c'
_symmetry_Int_Tables_number 194
_symmetry_space_group_name_Hall '-P 6c 2c'
_cell_length_a 7.4135
_cell_length_b 7.4135
_cell_length_c 6.2692
_cell_angle_alpha 90.00
_cell_angle_beta 90.00
_cell_angle_gamma 120.00
loop_
_atom_site_label
_atom_site_type_symbol
_atom_site_fract_x
_atom_site_fract_y
_atom_site_fract_z
Cs1 Cs 0.3333 0.6667 0.2500
Mg1 Mg 0.0000 0.0000 0.0000
Cl1 Cl 0.1541 0.3081 0.7500
```

Most intense lines, 10 to 90 degrees two-theta, sorted by position:
hkl	2theta	Rel. int.
1 0 1	19.79	54
1 1 0	24.01	34
2 0 0	27.79	14
0 0 2	28.47	24
2 0 1	31.31	100
2 0 2	40.21	24
2 2 0	49.16	20
2 0 3	52.23	21
2 2 2	57.79	15
4 0 1	59.44	13